# 1
The following is a theoretical PXRD pattern of Sr2Y2Cu2O7. It was derived from a structure optimized by DFT (PBE), using Cu Ka.
Intensities are scaled so that the largest is 100.

The 12 most intense peaks (2θ = 15–90°), most intense first:
2theta, d_spacing, intensity
31.85, 2.810, 100
37.30, 2.410, 45
47.51, 1.914, 43
33.00, 2.714, 40
33.20, 2.699, 40
58.22, 1.585, 17
58.46, 1.579, 16
27.38, 3.258, 14
36.18, 2.482, 13
62.03, 1.496, 12
61.79, 1.501, 10
72.70, 1.301, 8

Structural model:
```
Sr2Y2Cu2O7
1.0
-12.412 2.714 2.699
12.412 -2.714 2.699
12.412 2.714 -2.699
Sr Y Cu O
4 4 4 14
direct
0.010 0.141 0.152 Sr
0.010 0.359 0.369 Sr
0.990 0.641 0.631 Sr
0.990 0.859 0.848 Sr
0.008 0.008 0.000 Y
0.008 0.508 0.500 Y
0.421 0.709 0.211 Y
0.498 0.209 0.789 Y
0.508 0.076 0.569 Cu
0.508 0.439 0.932 Cu
0.508 0.576 0.068 Cu
0.508 0.939 0.431 Cu
0.008 0.197 0.695 O
0.008 0.321 0.807 O
0.008 0.701 0.187 O
0.008 0.813 0.312 O
0.107 0.795 0.811 O
0.498 0.192 0.637 O
0.498 0.361 0.806 O
0.502 0.313 0.305 O
0.502 0.697 0.688 O
0.514 0.201 0.193 O
0.514 0.821 0.813 O
0.555 0.692 0.194 O
0.555 0.861 0.363 O
0.984 0.295 0.189 O
```

---

# 2
The following is a theoretical PXRD pattern of Sr9Zn2Cu2O14. It was derived from a structure optimized by DFT (PBE), using Cu Ka.
Intensities are scaled so that the largest is 100.

The 12 most intense peaks (2θ = 15–90°), most intense first:
2theta, d_spacing, intensity
34.29, 2.615, 100
31.78, 2.815, 78
30.65, 2.917, 36
31.93, 2.803, 35
49.95, 1.826, 24
24.19, 3.679, 18
40.83, 2.210, 17
58.47, 1.578, 15
48.61, 1.873, 15
26.27, 3.393, 13
53.53, 1.712, 12
59.75, 1.548, 11

Structural model:
```
Sr9Zn2Cu2O14
1.0
11.291 -1.826 0.000
11.291 1.826 0.000
-2.313 0.000 11.008
Sr Zn Cu O
9 2 2 14
direct
0.000 0.000 0.000 Sr
0.001 0.001 0.665 Sr
0.611 0.611 0.520 Sr
0.621 0.621 0.880 Sr
0.630 0.630 0.232 Sr
0.787 0.787 0.308 Sr
0.800 0.800 0.617 Sr
0.833 0.833 0.966 Sr
0.981 0.981 0.299 Sr
0.206 0.206 0.065 Zn
0.420 0.420 0.800 Zn
0.203 0.203 0.738 Cu
0.408 0.408 0.479 Cu
0.092 0.092 0.369 O
0.113 0.113 0.025 O
0.120 0.120 0.700 O
0.216 0.216 0.239 O
0.283 0.283 0.770 O
0.329 0.329 0.476 O
0.410 0.410 0.969 O
0.489 0.489 0.490 O
0.511 0.511 0.164 O
0.512 0.512 0.819 O
0.706 0.706 0.449 O
0.729 0.729 0.013 O
0.872 0.872 0.196 O
0.903 0.903 0.735 O
```

---

What did the second record say?
The following is a theoretical PXRD pattern of Sr9Zn2Cu2O14. It was derived from a structure optimized by DFT (PBE), using Cu Ka.
Intensities are scaled so that the largest is 100.

The 12 most intense peaks (2θ = 15–90°), most intense first:
2theta, d_spacing, intensity
34.29, 2.615, 100
31.78, 2.815, 78
30.65, 2.917, 36
31.93, 2.803, 35
49.95, 1.826, 24
24.19, 3.679, 18
40.83, 2.210, 17
58.47, 1.578, 15
48.61, 1.873, 15
26.27, 3.393, 13
53.53, 1.712, 12
59.75, 1.548, 11

Structural model:
```
Sr9Zn2Cu2O14
1.0
11.291 -1.826 0.000
11.291 1.826 0.000
-2.313 0.000 11.008
Sr Zn Cu O
9 2 2 14
direct
0.000 0.000 0.000 Sr
0.001 0.001 0.665 Sr
0.611 0.611 0.520 Sr
0.621 0.621 0.880 Sr
0.630 0.630 0.232 Sr
0.787 0.787 0.308 Sr
0.800 0.800 0.617 Sr
0.833 0.833 0.966 Sr
0.981 0.981 0.299 Sr
0.206 0.206 0.065 Zn
0.420 0.420 0.800 Zn
0.203 0.203 0.738 Cu
0.408 0.408 0.479 Cu
0.092 0.092 0.369 O
0.113 0.113 0.025 O
0.120 0.120 0.700 O
0.216 0.216 0.239 O
0.283 0.283 0.770 O
0.329 0.329 0.476 O
0.410 0.410 0.969 O
0.489 0.489 0.490 O
0.511 0.511 0.164 O
0.512 0.512 0.819 O
0.706 0.706 0.449 O
0.729 0.729 0.013 O
0.872 0.872 0.196 O
0.903 0.903 0.735 O
```